Record 1
# LaY3Al2
Theoretical X-ray powder pattern, copper Kα. Input: a cell relaxed with GGA-PBE.

Structure:
abc: 5.1633 9.7363 6.6030
angles: 90.00 90.00 90.00
Space group Pmc2_1 (No. 26)
Inequivalent atoms, fractional coordinates:
La 0.0000 0.0431 0.0000 (multiplicity 2)
Y 0.0000 0.3267 0.6411 (multiplicity 2)
Y 0.5000 0.1865 0.2812 (multiplicity 2)
Y 0.5000 0.4529 0.9279 (multiplicity 2)
Al 0.0000 0.3597 0.1677 (multiplicity 2)
Al 0.5000 0.1486 0.7503 (multiplicity 2)

Principal peaks in the range 2θ from 10° to 90°, by intensity:
(1 3 0), 2θ = 32.59°, intensity 100; (1 1 2), 2θ = 33.51°, intensity 99; (2 0 0), 2θ = 34.75°, intensity 64; (1 2 1), 2θ = 28.60°, intensity 56; (1 0 2), 2θ = 32.18°, intensity 54; (0 2 2), 2θ = 32.78°, intensity 47

---

Record 2
# Tb6PrSm
Theoretical X-ray powder pattern, copper Kα. Input: a cell relaxed with GGA-PBE.

Structure:
abc: 5.0741 5.0741 10.1411
angles: 90.00 90.00 90.00
Space group P4/mmm (No. 123)
Inequivalent atoms, fractional coordinates:
Tb 0.0000 0.0000 0.0000 (multiplicity 1)
Tb 0.0000 0.0000 0.5000 (multiplicity 1)
Tb 0.0000 0.5000 0.2485 (multiplicity 4)
Pr 0.5000 0.5000 0.5000 (multiplicity 1)
Sm 0.5000 0.5000 0.0000 (multiplicity 1)

Principal peaks in the range 2θ from 10° to 90°, by intensity:
(1 1 2), 2θ = 30.52°, intensity 100; (2 0 0), 2θ = 35.39°, intensity 51; (3 1 2), 2θ = 60.53°, intensity 43; (2 2 0), 2θ = 50.91°, intensity 36; (3 3 2), 2θ = 82.97°, intensity 18; (4 2 0), 2θ = 85.63°, intensity 17

---

Record 3
# GaCoCu14
Theoretical X-ray powder pattern, copper Kα. Input: a cell relaxed with GGA-PBE.

Structure:
abc: 8.4214 5.0869 8.9652
angles: 90.00 90.00 90.00
Space group Amm2 (No. 38)
Inequivalent atoms, fractional coordinates:
Ga 0.0000 0.0000 0.0000 (multiplicity 2)
Co 0.0000 0.0000 0.5008 (multiplicity 2)
Cu 0.0000 0.2500 0.2506 (multiplicity 4)
Cu 0.2501 0.0000 0.6639 (multiplicity 4)
Cu 0.2509 0.0000 0.1655 (multiplicity 4)
Cu 0.2509 0.2475 0.4145 (multiplicity 8)
Cu 0.5000 0.0000 0.3286 (multiplicity 2)
Cu 0.5000 0.0000 0.8293 (multiplicity 2)
Cu 0.5000 0.2492 0.0789 (multiplicity 4)

Principal peaks in the range 2θ from 10° to 90°, by intensity:
(2 2 2), 2θ = 46.36°, intensity 100; (4 0 0), 2θ = 42.96°, intensity 58; (2 0 4), 2θ = 45.87°, intensity 57; (1 2 2), 2θ = 42.24°, intensity 47; (4 2 6), 2θ = 89.10°, intensity 25; (3 2 2), 2θ = 52.68°, intensity 24

---

Record 4
# LiNd2HoHg4
Theoretical X-ray powder pattern, copper Kα. Input: a cell relaxed with GGA-PBE.

Structure:
abc: 5.2451 5.2451 25.9926
angles: 90.00 90.00 120.00
Space group R-3m (No. 166, hexagonal axes)
Inequivalent atoms, fractional coordinates:
Li 0.0000 0.0000 0.0000 (multiplicity 3)
Nd 0.0000 0.0000 0.2543 (multiplicity 6)
Ho 0.0000 0.0000 0.5000 (multiplicity 3)
Hg 0.0000 0.0000 0.1262 (multiplicity 6)
Hg 0.0000 0.0000 0.3751 (multiplicity 6)

Principal peaks in the range 2θ from 10° to 90°, by intensity:
(0 1 8), 2θ = 33.92°, intensity 100; (1 1 0), 2θ = 34.19°, intensity 99; (1 2 8), 2θ = 61.04°, intensity 37; (2 0 8), 2θ = 48.93°, intensity 36; (3 0 0), 2θ = 61.21°, intensity 19; (1 0 16), 2θ = 60.53°, intensity 19

---

Record 5
# Tb3Dy2S8
Theoretical X-ray powder pattern, copper Kα. Input: a cell relaxed with GGA-PBE.

Structure:
abc: 13.7067 7.9448 6.7125
angles: 90.00 110.27 90.00
Space group C2/m (No. 12)
Inequivalent atoms, fractional coordinates:
Tb 0.0000 0.0000 0.0000 (multiplicity 2)
Tb 0.0000 0.2631 0.5000 (multiplicity 4)
Dy 0.2375 0.5000 0.1570 (multiplicity 4)
S 0.1175 0.0000 0.4306 (multiplicity 4)
S 0.1192 0.5000 0.4066 (multiplicity 4)
S 0.1251 0.2339 0.9151 (multiplicity 8)

Principal peaks in the range 2θ from 10° to 90°, by intensity:
(1 1 1), 2θ = 20.96°, intensity 100; (3 1 -1), 2θ = 23.52°, intensity 95; (4 2 -1), 2θ = 34.88°, intensity 84; (4 2 1), 2θ = 42.36°, intensity 70; (2 2 -3), 2θ = 46.60°, intensity 64; (2 2 0), 2θ = 26.37°, intensity 59

---

Record 6
# CsSrCdBr5
Theoretical X-ray powder pattern, copper Kα. Input: a cell relaxed with GGA-PBE.

Structure:
abc: 10.1672 13.5586 11.0253
angles: 90.00 114.06 90.00
Space group C2/c (No. 15)
Inequivalent atoms, fractional coordinates:
Cs 0.0000 0.1551 0.2500 (multiplicity 4)
Sr 0.0000 0.5000 0.0000 (multiplicity 4)
Cd 0.0000 0.1865 0.7500 (multiplicity 4)
Br 0.0000 0.4175 0.2500 (multiplicity 4)
Br 0.1126 0.2907 0.6133 (multiplicity 8)
Br 0.1844 0.0679 0.9336 (multiplicity 8)

Principal peaks in the range 2θ from 10° to 90°, by intensity:
(1 3 1), 2θ = 25.08°, intensity 100; (1 1 -2), 2θ = 17.54°, intensity 66; (2 0 0), 2θ = 19.12°, intensity 51; (4 0 -4), 2θ = 40.76°, intensity 48; (1 3 0), 2θ = 21.87°, intensity 45; (3 3 0), 2θ = 35.14°, intensity 37

---

Record 7
# Li3NpS4
Theoretical X-ray powder pattern, copper Kα. Input: a cell relaxed with GGA-PBE.

Structure:
abc: 6.4658 7.5201 6.6072
angles: 90.00 110.44 90.00
Space group P2/c (No. 13)
Inequivalent atoms, fractional coordinates:
Li 0.0000 0.1100 0.2500 (multiplicity 2)
Li 0.0000 0.3622 0.7500 (multiplicity 2)
Li 0.5000 0.1179 0.7500 (multiplicity 2)
Np 0.5000 0.3600 0.2500 (multiplicity 2)
S 0.2479 0.1280 0.0115 (multiplicity 4)
S 0.2610 0.3851 0.5004 (multiplicity 4)

Principal peaks in the range 2θ from 10° to 90°, by intensity:
(1 0 0), 2θ = 14.62°, intensity 100; (1 2 1), 2θ = 33.86°, intensity 73; (0 1 1), 2θ = 18.56°, intensity 70; (0 1 0), 2θ = 11.77°, intensity 65; (1 1 -1), 2θ = 20.33°, intensity 58; (1 1 0), 2θ = 18.81°, intensity 48

---

Record 8
# PrScIrRh
Theoretical X-ray powder pattern, copper Kα. Input: a cell relaxed with GGA-PBE.

Structure:
abc: 6.8272 6.8272 6.8272
angles: 90.00 90.00 90.00
Space group F-43m (No. 216)
Inequivalent atoms, fractional coordinates:
Pr 0.0000 0.0000 0.0000 (multiplicity 4)
Sc 0.0000 0.0000 0.5000 (multiplicity 4)
Ir 0.2500 0.2500 0.7500 (multiplicity 4)
Rh 0.2500 0.2500 0.2500 (multiplicity 4)

Principal peaks in the range 2θ from 10° to 90°, by intensity:
(2 2 0), 2θ = 37.25°, intensity 100; (4 2 2), 2θ = 67.17°, intensity 35; (4 0 0), 2θ = 53.70°, intensity 17; (1 1 1), 2θ = 22.56°, intensity 16; (4 4 0), 2θ = 79.40°, intensity 11; (3 1 1), 2θ = 43.99°, intensity 9

---

Record 9
# AcLaZn2Ga2
Theoretical X-ray powder pattern, copper Kα. Input: a cell relaxed with GGA-PBE.

Structure:
abc: 4.5827 4.5827 8.1394
angles: 90.00 90.00 120.00
Space group P-3m1 (No. 164)
Inequivalent atoms, fractional coordinates:
Ac 0.0000 0.0000 0.0000 (multiplicity 1)
La 0.0000 0.0000 0.5000 (multiplicity 1)
Zn 0.3333 0.6667 0.2772 (multiplicity 2)
Ga 0.3333 0.6667 0.7282 (multiplicity 2)

Principal peaks in the range 2θ from 10° to 90°, by intensity:
(1 0 2), 2θ = 31.49°, intensity 100; (1 1 0), 2θ = 39.32°, intensity 47; (0 2 2), 2θ = 51.22°, intensity 26; (2 1 2), 2θ = 66.42°, intensity 23; (1 1 4), 2θ = 60.89°, intensity 22; (1 0 0), 2θ = 22.40°, intensity 21

---

Record 10
# Ti2TcNiI
Theoretical X-ray powder pattern, copper Kα. Input: a cell relaxed with GGA-PBE.

Structure:
abc: 4.7443 4.7443 4.6868
angles: 90.00 90.00 90.00
Space group P4/mmm (No. 123)
Inequivalent atoms, fractional coordinates:
Ti 0.0000 0.5000 0.0000 (multiplicity 2)
Tc 0.0000 0.0000 0.0000 (multiplicity 1)
Ni 0.0000 0.0000 0.5000 (multiplicity 1)
I 0.5000 0.5000 0.5000 (multiplicity 1)

Principal peaks in the range 2θ from 10° to 90°, by intensity:
(2 0 0), 2θ = 37.93°, intensity 100; (1 0 1), 2θ = 26.74°, intensity 89; (1 1 1), 2θ = 32.83°, intensity 69; (1 1 0), 2θ = 26.57°, intensity 67; (2 0 2), 2θ = 55.09°, intensity 64; (0 0 2), 2θ = 38.41°, intensity 48

---

Record 11
# Tm6Bi2H
Theoretical X-ray powder pattern, copper Kα. Input: a cell relaxed with GGA-PBE.

Structure:
abc: 6.5820 7.2651 11.8980
angles: 90.00 123.33 90.00
Space group P2_1/c (No. 14)
Inequivalent atoms, fractional coordinates:
Tm 0.0723 0.2114 0.4644 (multiplicity 4)
Tm 0.3530 0.7038 0.4641 (multiplicity 4)
Tm 0.4073 0.0152 0.2535 (multiplicity 4)
Bi 0.1367 0.1156 0.7483 (multiplicity 4)
H 0.5000 0.0000 0.5000 (multiplicity 2)

Principal peaks in the range 2θ from 10° to 90°, by intensity:
(2 1 -1), 2θ = 31.16°, intensity 100; (0 2 2), 2θ = 30.48°, intensity 99; (2 1 -4), 2θ = 35.02°, intensity 57; (2 1 0), 2θ = 34.89°, intensity 57; (0 0 4), 2θ = 36.14°, intensity 54; (1 2 1), 2θ = 33.45°, intensity 51

---

Record 12
# K2TbMnTe4
Theoretical X-ray powder pattern, copper Kα. Input: a cell relaxed with GGA-PBE.

Structure:
abc: 8.9235 9.1659 13.2553
angles: 90.00 90.00 90.00
Space group Imma (No. 74)
Inequivalent atoms, fractional coordinates:
K 0.0000 0.0000 0.0000 (multiplicity 4)
K 0.2500 0.2500 0.2500 (multiplicity 4)
Tb 0.0000 0.0000 0.5000 (multiplicity 4)
Mn 0.2500 0.2500 0.7500 (multiplicity 4)
Te 0.0000 0.0580 0.7392 (multiplicity 8)
Te 0.2289 0.2500 0.5096 (multiplicity 8)

Principal peaks in the range 2θ from 10° to 90°, by intensity:
(2 2 0), 2θ = 27.91°, intensity 100; (2 2 4), 2θ = 39.15°, intensity 76; (0 0 4), 2θ = 26.90°, intensity 64; (1 0 1), 2θ = 11.96°, intensity 36; (4 0 4), 2θ = 49.24°, intensity 22; (0 1 1), 2θ = 11.74°, intensity 20

---

Record 13
# Mg2Pb3
Theoretical X-ray powder pattern, copper Kα. Input: a cell relaxed with GGA-PBE.

Structure:
abc: 9.1603 9.1603 11.7049
angles: 90.00 90.00 120.00
Space group R-3c (No. 167, hexagonal axes)
Inequivalent atoms, fractional coordinates:
Mg 0.0000 0.0000 0.1244 (multiplicity 12)
Pb 0.0000 0.3179 0.2500 (multiplicity 18)

Principal peaks in the range 2θ from 10° to 90°, by intensity:
(1 1 3), 2θ = 30.09°, intensity 100; (3 0 0), 2θ = 33.90°, intensity 56; (1 1 0), 2θ = 19.38°, intensity 32; (2 2 3), 2θ = 45.95°, intensity 30; (4 1 3), 2θ = 58.31°, intensity 29; (3 0 6), 2θ = 58.82°, intensity 20